No. 1
This entry pairs a crystal structure of Er2ReIr3 with its simulated powder XRD pattern. Radiation: a wavelength of 1.5418 Å. Structure: the GGA-PBE geometry in OQMD.
Neutral-atom scattering factors, no anomalous dispersion.

Atomic structure:
Cell lengths 5.441, 5.441, 8.415 Å; angles 90.00, 90.00, 120.00 degrees
Sites, in units of the cell vectors:
Er1 0.333 0.667 0.064
Er2 0.333 0.667 0.436
Er3 0.667 0.333 0.564
Er4 0.667 0.333 0.936
Re1 0.000 0.000 0.000
Re2 0.000 0.000 0.500
Ir1 0.170 0.340 0.750
Ir2 0.170 0.830 0.750
Ir3 0.340 0.170 0.250
Ir4 0.660 0.830 0.750
Ir5 0.830 0.170 0.250
Ir6 0.830 0.660 0.250

Main lines, low angle first (2θ = 15–90°):
- 32.92 deg, 2.721 Å, rel. 23.9
- 37.31 deg, 2.410 Å, rel. 61.6
- 39.44 deg, 2.285 Å, rel. 100.0
- 39.73 deg, 2.269 Å, rel. 97.8
- 42.99 deg, 2.104 Å, rel. 19.9
- 44.05 deg, 2.056 Å, rel. 25.1
- 61.69 deg, 1.504 Å, rel. 25.8
- 63.19 deg, 1.472 Å, rel. 25.5
- 68.52 deg, 1.370 Å, rel. 31.2
- 69.06 deg, 1.360 Å, rel. 41.6

No. 2
This entry pairs a crystal structure of Sr2Al4NiIr with its simulated powder XRD pattern. Radiation: a wavelength of 1.5418 Å. Structure: the GGA-PBE geometry in OQMD.
Neutral-atom scattering factors, no anomalous dispersion.

Atomic structure:
Cell lengths 7.271, 6.049, 6.049 Å; angles 40.33, 90.00, 90.00 degrees
Sites, in units of the cell vectors:
Sr1 0.000 0.000 0.000
Sr2 0.500 0.098 0.098
Al1 0.194 0.732 0.732
Al2 0.316 0.370 0.370
Al3 0.684 0.370 0.370
Al4 0.806 0.732 0.732
Ni1 0.500 0.830 0.830
Ir1 0.000 0.270 0.270

Main lines, low angle first (2θ = 15–90°):
- 15.61 deg, 5.678 Å, rel. 40.1
- 22.72 deg, 3.915 Å, rel. 48.8
- 24.49 deg, 3.635 Å, rel. 58.9
- 25.85 deg, 3.447 Å, rel. 42.8
- 33.64 deg, 2.664 Å, rel. 65.6
- 33.90 deg, 2.645 Å, rel. 63.1
- 34.29 deg, 2.615 Å, rel. 100.0
- 43.40 deg, 2.085 Å, rel. 30.2
- 43.94 deg, 2.061 Å, rel. 33.0
- 49.74 deg, 1.833 Å, rel. 43.3

No. 3
This entry pairs a crystal structure of Sr2Ga4CuPd with its simulated powder XRD pattern. Radiation: a wavelength of 1.5418 Å. Structure: the GGA-PBE geometry in OQMD.
Neutral-atom scattering factors, no anomalous dispersion.

Atomic structure:
Cell lengths 7.350, 6.063, 6.063 Å; angles 40.34, 90.00, 90.00 degrees
Sites, in units of the cell vectors:
Sr1 0.000 0.000 0.000
Sr2 0.500 0.102 0.102
Ga1 0.185 0.718 0.718
Ga2 0.304 0.381 0.381
Ga3 0.696 0.381 0.381
Ga4 0.815 0.718 0.718
Cu1 0.000 0.276 0.276
Pd1 0.500 0.827 0.827

Main lines, low angle first (2θ = 15–90°):
- 15.57 deg, 5.691 Å, rel. 56.8
- 31.85 deg, 2.810 Å, rel. 59.7
- 33.40 deg, 2.682 Å, rel. 100.0
- 33.78 deg, 2.654 Å, rel. 72.3
- 34.17 deg, 2.624 Å, rel. 90.9
- 40.07 deg, 2.250 Å, rel. 52.1
- 43.28 deg, 2.091 Å, rel. 54.2
- 43.55 deg, 2.078 Å, rel. 61.8
- 49.35 deg, 1.847 Å, rel. 33.6
- 56.00 deg, 1.642 Å, rel. 32.9

No. 4
This entry pairs a crystal structure of Gd2YNi2B2P3 with its simulated powder XRD pattern. Radiation: a wavelength of 1.5418 Å. Structure: the GGA-PBE geometry in OQMD.
Neutral-atom scattering factors, no anomalous dispersion.

Atomic structure:
Cell lengths 11.040, 11.040, 11.040 Å; angles 159.37, 159.37, 29.33 degrees
Sites, in units of the cell vectors:
Gd1 0.138 0.138 0.000
Gd2 0.862 0.862 0.000
Y1 0.500 0.500 0.000
Ni1 0.250 0.750 0.500
Ni2 0.750 0.250 0.500
B1 0.281 0.281 0.000
B2 0.719 0.719 0.000
P1 0.000 0.000 0.000
P2 0.372 0.372 0.000
P3 0.628 0.628 0.000

Main lines, low angle first (2θ = 15–90°):
- 25.78 deg, 3.456 Å, rel. 100.0
- 32.02 deg, 2.795 Å, rel. 58.2
- 33.13 deg, 2.704 Å, rel. 25.4
- 33.56 deg, 2.670 Å, rel. 56.3
- 36.27 deg, 2.477 Å, rel. 72.1
- 41.05 deg, 2.199 Å, rel. 64.2
- 45.91 deg, 1.977 Å, rel. 59.4
- 53.40 deg, 1.716 Å, rel. 28.8
- 58.06 deg, 1.589 Å, rel. 44.5
- 70.29 deg, 1.339 Å, rel. 27.7